Structure and computed powder XRD pattern of LiMo4P4O22 (a cell relaxed with PBE+U; Cu Kα X-rays).
Intensities are scaled so that the largest is 100.

Top 6 peaks for 2θ = 10–90°, low angle first:
2θ/deg  I/Imax  hkl
17.8  48  0 1 -1
18.3  100  1 1 0
23.6  75  0 2 1
26.5  53  0 1 -2
27.6  96  2 0 0
29.8  52  0 1 3

Structural model:
```
data_LiMo4P4O22
_chemical_formula_sum 'Li1 Mo4 P4 O22'
_symmetry_space_group_name_H-M 'P 1'
_symmetry_Int_Tables_number 1
_cell_length_a 6.4680
_cell_length_b 7.6152
_cell_length_c 9.0774
_cell_angle_alpha 74.14
_cell_angle_beta 89.58
_cell_angle_gamma 89.98
loop_
_symmetry_equiv_pos_as_xyz
'x,y,z'
loop_
_atom_site_label
_atom_site_type_symbol
_atom_site_fract_x
_atom_site_fract_y
_atom_site_fract_z
_atom_site_occupancy
Li1 Li 0.0000 0.0000 0.0000 1
Mo1 Mo 0.2492 0.8915 0.7051 1
Mo2 Mo 0.2511 0.6645 0.1498 1
Mo3 Mo 0.7489 0.3355 0.8502 1
Mo4 Mo 0.7508 0.1085 0.2949 1
P1 P 0.2491 0.0078 0.3253 1
P2 P 0.2495 0.4261 0.8826 1
P3 P 0.7505 0.5739 0.1174 1
P4 P 0.7509 0.9922 0.6747 1
O1 O 0.0605 0.1352 0.3142 1
O2 O 0.0639 0.2960 0.8841 1
O3 O 0.2264 0.8587 0.9102 1
O4 O 0.2290 0.9123 0.1932 1
O5 O 0.2440 0.5278 0.3308 1
O6 O 0.2452 0.4727 0.0403 1
O7 O 0.2472 0.1243 0.6410 1
O8 O 0.2482 0.5955 0.7490 1
O9 O 0.2639 0.8647 0.4803 1
O10 O 0.4425 0.1333 0.2911 1
O11 O 0.4457 0.3060 0.8851 1
O12 O 0.5543 0.6940 0.1149 1
O13 O 0.5575 0.8667 0.7089 1
O14 O 0.7361 0.1353 0.5197 1
O15 O 0.7518 0.4045 0.2510 1
O16 O 0.7528 0.8757 0.3590 1
O17 O 0.7548 0.5273 0.9597 1
O18 O 0.7560 0.4722 0.6692 1
O19 O 0.7710 0.0877 0.8068 1
O20 O 0.7736 0.1413 0.0898 1
O21 O 0.9361 0.7040 0.1159 1
O22 O 0.9395 0.8648 0.6858 1
```